For Li2CrO3, a crystal structure in Alexandria, relaxed with PBE+U gives the calculated powder X-ray diffraction pattern in this record (a wavelength of 1.5418 Å).
Neutral-atom scattering factors, no anomalous dispersion.

Atomic structure:
Cell lengths 2.9215, 5.9399, 6.4617 Å; angles 75.99, 77.13, 89.34 degrees
Positions (direct):
Li 0.0000 0.0000 0.0000
Li 0.0000 0.5000 0.0000
Li 0.3388 0.1653 0.3190
Li 0.6612 0.8347 0.6810
Cr 0.3302 0.6776 0.3168
Cr 0.6698 0.3224 0.6832
O 0.1595 0.1116 0.6603
O 0.1839 0.5617 0.6538
O 0.4924 0.7428 0.0232
O 0.5076 0.2572 0.9768
O 0.8161 0.4383 0.3462
O 0.8405 0.8884 0.3397

Top 8 peaks for 2θ from 10° to 90°, in order of falling intensity:
| 2θ/deg | d [Å] | I (rel.) |
| --- | --- | --- |
| 18.40 | 4.822 | 100 |
| 43.19 | 2.095 | 38 |
| 43.72 | 2.070 | 35 |
| 44.51 | 2.035 | 32 |
| 15.39 | 5.758 | 29 |
| 63.71 | 1.461 | 27 |
| 14.51 | 6.106 | 23 |
| 23.70 | 3.754 | 23 |


For Li6Cr2O7, a crystal structure in Alexandria, relaxed with PBE+U gives the calculated powder X-ray diffraction pattern in this record (a wavelength of 1.5418 Å).
Neutral-atom scattering factors, no anomalous dispersion.

Atomic structure:
Cell lengths 5.0597, 5.8076, 9.8130 Å; angles 90.00, 110.59, 90.00 degrees
Positions (direct):
Li 0.1992 0.0003 0.1325
Li 0.1992 0.4997 0.6325
Li 0.2311 0.2247 0.3639
Li 0.2311 0.2753 0.8639
Li 0.2346 0.7240 0.8660
Li 0.2346 0.7760 0.3660
Li 0.7654 0.2240 0.6340
Li 0.7654 0.2760 0.1340
Li 0.7689 0.7247 0.1361
Li 0.7689 0.7753 0.6361
Li 0.8008 0.9997 0.8675
Li 0.8008 0.5003 0.3675
Cr 0.2585 0.0010 0.6323
Cr 0.2585 0.4990 0.1323
Cr 0.7415 0.5010 0.8677
Cr 0.7415 0.9990 0.3677
O 0.0121 0.7254 0.0035
O 0.0121 0.7746 0.5035
O 0.0532 0.5005 0.2537
O 0.0532 0.9995 0.7537
O 0.4927 0.2492 0.7433
O 0.4927 0.2508 0.2433
O 0.5000 0.0000 0.5000
O 0.5000 0.5000 0.0000
O 0.5073 0.7492 0.7567
O 0.5073 0.7508 0.2567
O 0.9468 0.0005 0.2463
O 0.9468 0.4995 0.7463
O 0.9879 0.2254 0.4965
O 0.9879 0.2746 0.9965

Top 8 peaks for 2θ from 10° to 90°, in order of falling intensity:
| 2θ/deg | d [Å] | I (rel.) |
| --- | --- | --- |
| 18.07 | 4.909 | 100 |
| 44.66 | 2.029 | 61 |
| 21.70 | 4.095 | 52 |
| 28.54 | 3.128 | 39 |
| 44.24 | 2.047 | 31 |
| 23.52 | 3.782 | 25 |
| 65.53 | 1.425 | 15 |
| 63.82 | 1.458 | 15 |


For Li6Cr2O7, a crystal structure in Alexandria, relaxed with PBE+U gives the calculated powder X-ray diffraction pattern in this record (a wavelength of 1.5418 Å).
Neutral-atom scattering factors, no anomalous dispersion.

Atomic structure:
Cell lengths 7.9427, 5.0607, 9.0265 Å; angles 90.00, 116.17, 90.00 degrees
Positions (direct):
Li 0.0688 0.1905 0.1657
Li 0.0688 0.8095 0.6657
Li 0.3373 0.1985 0.6234
Li 0.3373 0.8015 0.1234
Li 0.4181 0.1942 0.3647
Li 0.4181 0.8058 0.8647
Li 0.5819 0.1942 0.1353
Li 0.5819 0.8058 0.6353
Li 0.6627 0.1985 0.8766
Li 0.6627 0.8015 0.3766
Li 0.9312 0.1905 0.3343
Li 0.9312 0.8095 0.8343
Cr 0.2181 0.3134 0.9074
Cr 0.2181 0.6866 0.4074
Cr 0.7819 0.3134 0.5926
Cr 0.7819 0.6866 0.0926
O 0.0000 0.1519 0.7500
O 0.0000 0.8481 0.2500
O 0.1862 0.3349 0.3984
O 0.1862 0.6651 0.8984
O 0.2779 0.1936 0.1103
O 0.2779 0.8064 0.6103
O 0.4080 0.2200 0.8650
O 0.4080 0.7800 0.3650
O 0.5920 0.2200 0.6350
O 0.5920 0.7800 0.1350
O 0.7221 0.1936 0.3897
O 0.7221 0.8064 0.8897
O 0.8138 0.3349 0.1016
O 0.8138 0.6651 0.6016

Top 8 peaks for 2θ from 10° to 90°, in order of falling intensity:
| 2θ/deg | d [Å] | I (rel.) |
| --- | --- | --- |
| 24.97 | 3.566 | 100 |
| 19.87 | 4.469 | 84 |
| 21.53 | 4.128 | 81 |
| 26.63 | 3.348 | 71 |
| 35.48 | 2.530 | 45 |
| 20.69 | 4.292 | 27 |
| 34.77 | 2.580 | 26 |
| 45.69 | 1.986 | 25 |


For Li2CrP2O8, a crystal structure in Alexandria, relaxed with PBE+U gives the calculated powder X-ray diffraction pattern in this record (a wavelength of 1.5418 Å).
Neutral-atom scattering factors, no anomalous dispersion.

Atomic structure:
Cell lengths 5.0132, 8.2754, 7.2094 Å; angles 90.00, 97.85, 90.00 degrees
Positions (direct):
Li 0.1747 0.0000 0.3248
Li 0.3090 0.3727 0.8963
Li 0.6910 0.8727 0.1037
Li 0.8253 0.5000 0.6752
Cr 0.2475 0.0267 0.7405
Cr 0.7525 0.5267 0.2595
P 0.1927 0.6976 0.0157
P 0.3106 0.3516 0.4845
P 0.6894 0.8516 0.5155
P 0.8073 0.1976 0.9843
O 0.0117 0.6946 0.1751
O 0.0152 0.4161 0.4501
O 0.0958 0.5757 0.8635
O 0.1934 0.8745 0.9446
O 0.2872 0.1654 0.5188
O 0.4523 0.3814 0.3113
O 0.4594 0.4230 0.6651
O 0.4926 0.6574 0.0908
O 0.5074 0.1574 0.9092
O 0.5406 0.9230 0.3349
O 0.5477 0.8814 0.6887
O 0.7128 0.6654 0.4812
O 0.8066 0.3745 0.0554
O 0.9042 0.0757 0.1365
O 0.9848 0.9161 0.5499
O 0.9883 0.1946 0.8249

Top 8 peaks for 2θ from 10° to 90°, in order of falling intensity:
| 2θ/deg | d [Å] | I (rel.) |
| --- | --- | --- |
| 16.39 | 5.407 | 100 |
| 23.03 | 3.862 | 80 |
| 25.58 | 3.482 | 67 |
| 24.87 | 3.580 | 62 |
| 23.17 | 3.839 | 50 |
| 33.14 | 2.703 | 40 |
| 30.73 | 2.909 | 40 |
| 29.75 | 3.003 | 33 |


For LiCrPO4, a crystal structure in Alexandria, relaxed with PBE+U gives the calculated powder X-ray diffraction pattern in this record (a wavelength of 1.5418 Å).
Neutral-atom scattering factors, no anomalous dispersion.

Atomic structure:
Cell lengths 5.1990, 9.7219, 8.6489 Å; angles 90.00, 125.22, 90.00 degrees
Positions (direct):
Li 0.2260 0.1789 0.0246
Li 0.2260 0.3211 0.5246
Li 0.7740 0.6789 0.4754
Li 0.7740 0.8211 0.9754
Cr 0.2362 0.6142 0.9773
Cr 0.2362 0.8858 0.4773
Cr 0.7638 0.1142 0.5227
Cr 0.7638 0.3858 0.0227
P 0.0784 0.5942 0.2665
P 0.0784 0.9058 0.7665
P 0.9216 0.0942 0.2335
P 0.9216 0.4058 0.7335
O 0.0678 0.0603 0.8077
O 0.0678 0.4397 0.3077
O 0.0846 0.6861 0.4136
O 0.0846 0.8139 0.9136
O 0.2332 0.1121 0.4417
O 0.2332 0.3879 0.9417
O 0.3589 0.6303 0.2556
O 0.3589 0.8697 0.7556
O 0.6411 0.1303 0.2444
O 0.6411 0.3697 0.7444
O 0.7668 0.6121 0.0583
O 0.7668 0.8879 0.5583
O 0.9154 0.1861 0.0864
O 0.9154 0.3139 0.5864
O 0.9322 0.5603 0.6923
O 0.9322 0.9397 0.1923

Top 8 peaks for 2θ from 10° to 90°, in order of falling intensity:
| 2θ/deg | d [Å] | I (rel.) |
| --- | --- | --- |
| 15.50 | 5.716 | 100 |
| 34.52 | 2.598 | 69 |
| 20.91 | 4.248 | 61 |
| 21.53 | 4.128 | 59 |
| 22.85 | 3.892 | 59 |
| 22.20 | 4.005 | 58 |
| 36.99 | 2.430 | 48 |
| 39.36 | 2.289 | 31 |


For Li4CrP2O8, a crystal structure in Alexandria, relaxed with PBE+U gives the calculated powder X-ray diffraction pattern in this record (a wavelength of 1.5418 Å).
Neutral-atom scattering factors, no anomalous dispersion.

Atomic structure:
Cell lengths 4.9719, 5.5638, 6.1091 Å; angles 101.41, 95.18, 97.98 degrees
Positions (direct):
Li 0.0780 0.3431 0.3299
Li 0.3700 0.6946 0.9345
Li 0.6300 0.3054 0.0655
Li 0.9220 0.6569 0.6701
Cr 0.5000 0.0000 0.5000
P 0.1009 0.2084 0.8003
P 0.8991 0.7916 0.1997
O 0.1887 0.3988 0.6535
O 0.2141 0.9590 0.7173
O 0.2167 0.8545 0.2181
O 0.2293 0.3260 0.0439
O 0.7707 0.6740 0.9561
O 0.7833 0.1455 0.7819
O 0.7859 0.0410 0.2827
O 0.8113 0.6012 0.3465

Top 8 peaks for 2θ from 10° to 90°, in order of falling intensity:
| 2θ/deg | d [Å] | I (rel.) |
| --- | --- | --- |
| 19.75 | 4.496 | 100 |
| 16.47 | 5.383 | 50 |
| 27.85 | 3.203 | 44 |
| 35.40 | 2.536 | 41 |
| 24.95 | 3.569 | 40 |
| 33.49 | 2.676 | 33 |
| 37.27 | 2.413 | 28 |
| 33.34 | 2.687 | 26 |


For LiCrP2O7, a crystal structure in Alexandria, relaxed with PBE+U gives the calculated powder X-ray diffraction pattern in this record (a wavelength of 1.5418 Å).
Neutral-atom scattering factors, no anomalous dispersion.

Atomic structure:
Cell lengths 6.4456, 6.4456, 6.7021 Å; angles 109.49, 109.49, 80.18 degrees
Positions (direct):
Li 0.1760 0.8240 0.0000
Li 0.8240 0.1760 0.0000
Cr 0.3160 0.6840 0.5000
Cr 0.6840 0.3160 0.5000
P 0.2229 0.2229 0.5562
P 0.3072 0.3072 0.0595
P 0.6928 0.6928 0.9405
P 0.7771 0.7771 0.4438
O 0.0201 0.7163 0.5330
O 0.1468 0.1468 0.0297
O 0.2419 0.5541 0.1656
O 0.2837 0.9799 0.4670
O 0.3081 0.3081 0.8182
O 0.3603 0.3603 0.4961
O 0.4459 0.7581 0.8344
O 0.5541 0.2419 0.1656
O 0.6397 0.6397 0.5039
O 0.6919 0.6919 0.1818
O 0.7163 0.0201 0.5330
O 0.7581 0.4459 0.8344
O 0.8532 0.8532 0.9703
O 0.9799 0.2837 0.4670

Top 8 peaks for 2θ from 10° to 90°, in order of falling intensity:
| 2θ/deg | d [Å] | I (rel.) |
| --- | --- | --- |
| 14.66 | 6.044 | 100 |
| 29.47 | 3.031 | 83 |
| 29.62 | 3.016 | 62 |
| 29.27 | 3.052 | 50 |
| 18.97 | 4.679 | 36 |
| 57.90 | 1.593 | 22 |
| 48.47 | 1.878 | 22 |
| 21.41 | 4.151 | 20 |